Diffraction record for Ba3BiTe. The XRD peak list is theoretical, not measured: it uses a cell relaxed with GGA-PBE and CuKα.
Kinematic intensities with the Lorentz-polarization factor, no thermal factor.

abc: 7.342 6.107 10.704
angles: 90.00 90.00 90.00
Space group Pmma (No. 51)
Unique sites:
Ba 0.000 0.000 0.000 x2
Ba 0.250 0.000 0.351 x2
Ba 0.250 0.500 0.803 x2
Bi 0.250 0.500 0.151 x2
Te 0.250 0.000 0.675 x2

Peak list (12 most intense, 10 to 90 degrees two-theta, low angle first)
d [Å]  Position (°2θ)  I_rel
5.304  16.71  20
3.671  24.24  32
3.081  28.98  92
3.053  29.25  50
3.021  29.57  100
2.360  38.14  34
2.348  38.34  20
2.150  42.03  24
1.769  51.68  28
1.756  52.08  14
1.577  58.54  25
1.573  58.69  14

Diffraction record for Ba3TiBi3. The XRD peak list is theoretical, not measured: it uses a cell relaxed with GGA-PBE and CuKα.
Kinematic intensities with the Lorentz-polarization factor, no thermal factor.

abc: 21.627 7.475 14.583
angles: 90.00 90.00 90.00
Space group Cmce (No. 64)
Unique sites:
Ba 0.000 0.181 0.155 x8
Ba 0.175 0.194 0.867 x16
Ti 0.082 0.000 0.500 x8
Bi 0.000 0.220 0.400 x8
Bi 0.159 0.196 0.618 x16

Peak list (12 most intense, 10 to 90 degrees two-theta, low angle first)
d [Å]  Position (°2θ)  I_rel
4.228  21.01  31
3.737  23.81  70
3.646  24.42  91
3.605  24.70  100
3.433  25.95  31
3.008  29.70  23
2.983  29.95  28
2.610  34.36  64
2.595  34.56  79
2.563  35.01  84
2.114  42.78  48
1.721  53.24  25

Diffraction record for BaTlBi. The XRD peak list is theoretical, not measured: it uses a cell relaxed with GGA-PBE and CuKα.
Kinematic intensities with the Lorentz-polarization factor, no thermal factor.

abc: 5.066 5.066 18.225
angles: 90.00 90.00 90.00
Space group I4/mmm (No. 139)
Unique sites:
Ba 0.000 0.000 0.162 x4
Tl 0.000 0.500 0.000 x4
Bi 0.000 0.000 0.363 x4

Peak list (12 most intense, 10 to 90 degrees two-theta, low angle first)
d [Å]  Position (°2θ)  I_rel
3.334  26.74  59
3.038  29.40  24
2.816  31.78  100
2.533  35.44  48
1.945  46.69  28
1.791  50.99  17
1.694  54.15  11
1.624  56.67  17
1.578  58.50  14
1.543  59.96  13
1.511  61.35  34
1.203  79.69  13

Diffraction record for BaTl8Bi4. The XRD peak list is theoretical, not measured: it uses a cell relaxed with GGA-PBE and CuKα.
Kinematic intensities with the Lorentz-polarization factor, no thermal factor.

abc: 11.206 11.206 7.099
angles: 90.00 90.00 90.00
Space group I4/mmm (No. 139)
Unique sites:
Ba 0.000 0.000 0.000 x2
Tl 0.000 0.211 0.500 x8
Tl 0.000 0.352 0.000 x8
Bi 0.250 0.250 0.250 x8

Peak list (12 most intense, 10 to 90 degrees two-theta, low angle first)
d [Å]  Position (°2θ)  I_rel
3.306  26.97  40
2.998  29.80  87
2.847  31.42  93
2.802  31.94  58
2.644  33.91  100
2.538  35.36  39
2.506  35.84  53
1.883  48.34  29
1.774  51.52  26
1.653  55.60  38
1.626  56.60  23
1.448  64.34  33

Diffraction record for BaTl3Bi3. The XRD peak list is theoretical, not measured: it uses a cell relaxed with GGA-PBE and CuKα.
Kinematic intensities with the Lorentz-polarization factor, no thermal factor.

abc: 8.609 8.609 8.609
angles: 90.00 90.00 90.00
Space group Pm-3n (No. 223)
Unique sites:
Ba 0.000 0.000 0.000 x2
Tl 0.000 0.250 0.500 x6
Bi 0.000 0.500 0.250 x6

Peak list (12 most intense, 10 to 90 degrees two-theta, low angle first)
d [Å]  Position (°2θ)  I_rel
6.087  14.55  45
4.304  20.63  41
3.515  25.34  100
2.485  36.14  55
2.301  39.15  65
2.152  41.98  42
1.925  47.22  19
1.835  49.67  16
1.572  58.74  20
1.522  60.87  29
1.397  67.01  21
1.298  72.88  22

Diffraction record for Ba4Zn3Bi8. The XRD peak list is theoretical, not measured: it uses a cell relaxed with GGA-PBE and CuKα.
Kinematic intensities with the Lorentz-polarization factor, no thermal factor.

abc: 4.702 4.702 23.639
angles: 90.00 90.00 90.00
Space group P-4m2 (No. 115)
Unique sites:
Ba 0.000 0.500 0.117 x2
Ba 0.000 0.500 0.631 x2
Zn 0.000 0.000 0.000 x1
Zn 0.000 0.000 0.500 x1
Zn 0.500 0.500 0.500 x1
Bi 0.000 0.000 0.242 x2
Bi 0.000 0.500 0.428 x2
Bi 0.000 0.500 0.938 x2
Bi 0.500 0.500 0.248 x2

Peak list (12 most intense, 10 to 90 degrees two-theta, low angle first)
d [Å]  Position (°2θ)  I_rel
3.940  22.57  32
3.680  24.19  44
3.201  27.87  65
3.020  29.58  40
2.898  30.86  100
2.351  38.28  60
2.209  40.86  30
2.112  42.82  21
2.019  44.89  22
1.855  49.11  20
1.663  55.25  21
1.442  64.63  24